No. 1
The following is a simulated XRD peak list of MgTi. It was derived from a GGA-PBE-relaxed structure, using Cu Kα (λ = 1.5418 Å).
Peak positions follow from Bragg's law for the DFT cell and can differ from measured ones.

Top 10 peaks for 2θ from 15° to 90°, sorted by position:
16.68°, d = 5.316 Å, intensity 21
33.72°, d = 2.658 Å, intensity 26
37.18°, d = 2.418 Å, intensity 26
38.65°, d = 2.329 Å, intensity 100
49.10°, d = 1.855 Å, intensity 6
51.06°, d = 1.789 Å, intensity 15
60.31°, d = 1.535 Å, intensity 15
68.01°, d = 1.378 Å, intensity 16
73.02°, d = 1.296 Å, intensity 16
73.97°, d = 1.281 Å, intensity 11

Atomic structure:
```
data_MgTi
_cell_length_a 6.138
_cell_length_b 6.138
_cell_length_c 4.837
_cell_angle_alpha 90.00
_cell_angle_beta 90.00
_cell_angle_gamma 120.00
_space_group_name_H-M_alt 'P 1'
_space_group_IT_number 1
loop_
_space_group_symop_operation_xyz
'x,y,z'
loop_
_atom_site_label
_atom_site_fract_x
_atom_site_fract_y
_atom_site_fract_z
Mg1 0.000 0.000 0.000
Mg2 0.346 0.173 0.500
Mg3 0.827 0.173 0.500
Mg4 0.827 0.654 0.500
Ti1 0.036 0.518 0.000
Ti2 0.333 0.667 0.500
Ti3 0.482 0.518 0.000
Ti4 0.482 0.964 0.000
```

No. 2
The following is a simulated XRD peak list of MgTi. It was derived from a GGA-PBE-relaxed structure, using Cu Kα (λ = 1.5418 Å).
Peak positions follow from Bragg's law for the DFT cell and can differ from measured ones.

Top 10 peaks for 2θ from 15° to 90°, sorted by position:
34.40°, d = 2.607 Å, intensity 30
36.86°, d = 2.438 Å, intensity 43
38.71°, d = 2.326 Å, intensity 57
39.18°, d = 2.299 Å, intensity 100
51.31°, d = 1.781 Å, intensity 18
60.94°, d = 1.520 Å, intensity 15
67.96°, d = 1.379 Å, intensity 17
73.40°, d = 1.290 Å, intensity 17
74.31°, d = 1.276 Å, intensity 14
75.50°, d = 1.259 Å, intensity 14

Atomic structure:
```
data_MgTi
_cell_length_a 4.876
_cell_length_b 5.991
_cell_length_c 10.586
_cell_angle_alpha 90.00
_cell_angle_beta 90.00
_cell_angle_gamma 90.00
_space_group_name_H-M_alt 'P 1'
_space_group_IT_number 1
loop_
_space_group_symop_operation_xyz
'x,y,z'
loop_
_atom_site_label
_atom_site_fract_x
_atom_site_fract_y
_atom_site_fract_z
Mg1 0.250 0.001 0.086
Mg2 0.250 0.250 0.338
Mg3 0.250 0.250 0.824
Mg4 0.250 0.499 0.086
Mg5 0.750 0.501 0.914
Mg6 0.750 0.750 0.176
Mg7 0.750 0.750 0.662
Mg8 0.750 0.999 0.914
Ti1 0.250 0.509 0.577
Ti2 0.250 0.750 0.345
Ti3 0.250 0.750 0.811
Ti4 0.250 0.991 0.577
Ti5 0.750 0.009 0.423
Ti6 0.750 0.250 0.189
Ti7 0.750 0.250 0.655
Ti8 0.750 0.491 0.423
```

No. 3
The following is a simulated XRD peak list of MgTi. It was derived from a GGA-PBE-relaxed structure, using Cu Kα (λ = 1.5418 Å).
Peak positions follow from Bragg's law for the DFT cell and can differ from measured ones.

Top 10 peaks for 2θ from 15° to 90°, sorted by position:
32.84°, d = 2.728 Å, intensity 21
35.35°, d = 2.539 Å, intensity 14
37.59°, d = 2.393 Å, intensity 36
37.97°, d = 2.370 Å, intensity 100
40.20°, d = 2.243 Å, intensity 44
50.76°, d = 1.799 Å, intensity 11
61.86°, d = 1.500 Å, intensity 13
68.09°, d = 1.377 Å, intensity 16
72.00°, d = 1.312 Å, intensity 8
74.70°, d = 1.271 Å, intensity 15

Atomic structure:
```
data_MgTi
_cell_length_a 6.467
_cell_length_b 5.079
_cell_length_c 4.786
_cell_angle_alpha 90.00
_cell_angle_beta 90.00
_cell_angle_gamma 90.00
_space_group_name_H-M_alt 'P 1'
_space_group_IT_number 1
loop_
_space_group_symop_operation_xyz
'x,y,z'
loop_
_atom_site_label
_atom_site_fract_x
_atom_site_fract_y
_atom_site_fract_z
Mg1 0.134 0.066 0.250
Mg2 0.134 0.434 0.750
Mg3 0.866 0.566 0.250
Mg4 0.866 0.934 0.750
Ti1 0.403 0.582 0.250
Ti2 0.403 0.918 0.750
Ti3 0.597 0.082 0.250
Ti4 0.597 0.418 0.750
```

No. 4
The following is a simulated XRD peak list of MgTi. It was derived from a GGA-PBE-relaxed structure, using Cu Kα (λ = 1.5418 Å).
Peak positions follow from Bragg's law for the DFT cell and can differ from measured ones.

Top 10 peaks for 2θ from 15° to 90°, sorted by position:
20.02°, d = 4.436 Å, intensity 18
34.12°, d = 2.628 Å, intensity 47
34.31°, d = 2.614 Å, intensity 23
37.00°, d = 2.430 Å, intensity 72
37.99°, d = 2.369 Å, intensity 100
39.13°, d = 2.302 Å, intensity 93
39.91°, d = 2.259 Å, intensity 86
61.32°, d = 1.512 Å, intensity 29
66.01°, d = 1.415 Å, intensity 17
72.56°, d = 1.303 Å, intensity 17

Atomic structure:
```
data_MgTi
_cell_length_a 5.265
_cell_length_b 5.265
_cell_length_c 5.911
_cell_angle_alpha 119.62
_cell_angle_beta 119.62
_cell_angle_gamma 59.54
_space_group_name_H-M_alt 'P 1'
_space_group_IT_number 1
loop_
_space_group_symop_operation_xyz
'x,y,z'
loop_
_atom_site_label
_atom_site_fract_x
_atom_site_fract_y
_atom_site_fract_z
Mg1 0.000 0.000 0.000
Mg2 0.173 0.500 0.504
Mg3 0.500 0.827 0.496
Ti1 0.330 0.323 0.993
Ti2 0.677 0.670 0.007
Ti3 0.833 0.167 0.500
```

No. 5
The following is a simulated XRD peak list of MgTi. It was derived from a GGA-PBE-relaxed structure, using Cu Kα (λ = 1.5418 Å).
Peak positions follow from Bragg's law for the DFT cell and can differ from measured ones.

Top 10 peaks for 2θ from 15° to 90°, sorted by position:
33.36°, d = 2.686 Å, intensity 28
34.51°, d = 2.599 Å, intensity 44
36.79°, d = 2.443 Å, intensity 75
37.39°, d = 2.405 Å, intensity 46
38.85°, d = 2.318 Å, intensity 100
39.07°, d = 2.305 Å, intensity 47
39.67°, d = 2.272 Å, intensity 97
60.36°, d = 1.533 Å, intensity 28
67.07°, d = 1.395 Å, intensity 17
74.81°, d = 1.269 Å, intensity 16

Atomic structure:
```
data_MgTi
_cell_length_a 5.662
_cell_length_b 5.662
_cell_length_c 7.450
_cell_angle_alpha 103.90
_cell_angle_beta 103.90
_cell_angle_gamma 30.42
_space_group_name_H-M_alt 'P 1'
_space_group_IT_number 1
loop_
_space_group_symop_operation_xyz
'x,y,z'
loop_
_atom_site_label
_atom_site_fract_x
_atom_site_fract_y
_atom_site_fract_z
Mg1 0.000 0.000 0.000
Mg2 0.330 0.330 0.656
Mg3 0.608 0.608 0.709
Ti1 0.279 0.279 0.077
Ti2 0.664 0.664 0.314
Ti3 0.937 0.937 0.363
```

No. 6
The following is a simulated XRD peak list of Mg2Ti. It was derived from a GGA-PBE-relaxed structure, using Cu Kα (λ = 1.5418 Å).
Peak positions follow from Bragg's law for the DFT cell and can differ from measured ones.

Top 10 peaks for 2θ from 15° to 90°, sorted by position:
34.24°, d = 2.619 Å, intensity 24
34.75°, d = 2.582 Å, intensity 6
35.03°, d = 2.562 Å, intensity 29
38.61°, d = 2.332 Å, intensity 100
45.50°, d = 1.994 Å, intensity 4
49.79°, d = 1.831 Å, intensity 15
61.31°, d = 1.512 Å, intensity 16
65.22°, d = 1.430 Å, intensity 19
72.61°, d = 1.302 Å, intensity 18
74.84°, d = 1.269 Å, intensity 12

Atomic structure:
```
data_Mg2Ti
_cell_length_a 3.024
_cell_length_b 3.024
_cell_length_c 15.370
_cell_angle_alpha 90.00
_cell_angle_beta 90.00
_cell_angle_gamma 120.00
_space_group_name_H-M_alt 'P 1'
_space_group_IT_number 1
loop_
_space_group_symop_operation_xyz
'x,y,z'
loop_
_atom_site_label
_atom_site_fract_x
_atom_site_fract_y
_atom_site_fract_z
Mg1 0.333 0.667 0.086
Mg2 0.333 0.667 0.414
Mg3 0.667 0.333 0.586
Mg4 0.667 0.333 0.914
Ti1 0.333 0.667 0.750
Ti2 0.667 0.333 0.250
```

No. 7
The following is a simulated XRD peak list of Mg2Ti. It was derived from a GGA-PBE-relaxed structure, using Cu Kα (λ = 1.5418 Å).
Peak positions follow from Bragg's law for the DFT cell and can differ from measured ones.

Top 10 peaks for 2θ from 15° to 90°, sorted by position:
17.44°, d = 5.085 Å, intensity 9
19.26°, d = 4.608 Å, intensity 6
33.69°, d = 2.661 Å, intensity 27
35.30°, d = 2.543 Å, intensity 28
38.17°, d = 2.358 Å, intensity 100
49.59°, d = 1.838 Å, intensity 17
60.25°, d = 1.536 Å, intensity 16
65.26°, d = 1.430 Å, intensity 18
71.79°, d = 1.315 Å, intensity 18
73.60°, d = 1.287 Å, intensity 12

Atomic structure:
```
data_Mg2Ti
_cell_length_a 5.321
_cell_length_b 5.321
_cell_length_c 5.085
_cell_angle_alpha 90.00
_cell_angle_beta 90.00
_cell_angle_gamma 120.00
_space_group_name_H-M_alt 'P 1'
_space_group_IT_number 1
loop_
_space_group_symop_operation_xyz
'x,y,z'
loop_
_atom_site_label
_atom_site_fract_x
_atom_site_fract_y
_atom_site_fract_z
Mg1 0.000 0.000 0.000
Mg2 0.000 0.657 0.500
Mg3 0.343 0.343 0.500
Mg4 0.657 0.000 0.500
Ti1 0.333 0.667 0.000
Ti2 0.667 0.333 0.000
```

No. 8
The following is a simulated XRD peak list of Mg3Ti. It was derived from a GGA-PBE-relaxed structure, using Cu Kα (λ = 1.5418 Å).
Peak positions follow from Bragg's law for the DFT cell and can differ from measured ones.

Top 10 peaks for 2θ from 15° to 90°, sorted by position:
18.54°, d = 4.786 Å, intensity 14
33.04°, d = 2.711 Å, intensity 13
33.55°, d = 2.671 Å, intensity 26
35.26°, d = 2.546 Å, intensity 41
37.59°, d = 2.393 Å, intensity 52
38.04°, d = 2.365 Å, intensity 100
49.46°, d = 1.843 Å, intensity 16
59.33°, d = 1.558 Å, intensity 17
65.12°, d = 1.432 Å, intensity 18
70.94°, d = 1.329 Å, intensity 19

Atomic structure:
```
data_Mg3Ti
_cell_length_a 5.969
_cell_length_b 5.969
_cell_length_c 5.969
_cell_angle_alpha 150.20
_cell_angle_beta 62.93
_cell_angle_gamma 125.97
_space_group_name_H-M_alt 'P 1'
_space_group_IT_number 1
loop_
_space_group_symop_operation_xyz
'x,y,z'
loop_
_atom_site_label
_atom_site_fract_x
_atom_site_fract_y
_atom_site_fract_z
Mg1 0.000 0.000 0.000
Mg2 0.418 0.668 0.750
Mg3 0.917 0.668 0.250
Ti1 0.501 0.001 0.500
```

No. 9
The following is a simulated XRD peak list of MgTi. It was derived from a GGA-PBE-relaxed structure, using Cu Kα (λ = 1.5418 Å).
Peak positions follow from Bragg's law for the DFT cell and can differ from measured ones.

Top 10 peaks for 2θ from 15° to 90°, sorted by position:
22.42°, d = 3.966 Å, intensity 7
23.34°, d = 3.811 Å, intensity 8
34.18°, d = 2.623 Å, intensity 24
36.66°, d = 2.451 Å, intensity 27
38.94°, d = 2.313 Å, intensity 100
50.99°, d = 1.791 Å, intensity 14
61.19°, d = 1.515 Å, intensity 16
67.53°, d = 1.387 Å, intensity 17
73.50°, d = 1.288 Å, intensity 18
74.95°, d = 1.267 Å, intensity 12

Atomic structure:
```
data_MgTi
_cell_length_a 5.248
_cell_length_b 4.902
_cell_length_c 6.057
_cell_angle_alpha 90.00
_cell_angle_beta 90.00
_cell_angle_gamma 90.00
_space_group_name_H-M_alt 'P 1'
_space_group_IT_number 1
loop_
_space_group_symop_operation_xyz
'x,y,z'
loop_
_atom_site_label
_atom_site_fract_x
_atom_site_fract_y
_atom_site_fract_z
Mg1 0.084 0.250 0.125
Mg2 0.416 0.750 0.625
Mg3 0.584 0.250 0.375
Mg4 0.916 0.750 0.875
Ti1 0.085 0.250 0.626
Ti2 0.415 0.750 0.126
Ti3 0.585 0.250 0.874
Ti4 0.915 0.750 0.374
```

No. 10
The following is a simulated XRD peak list of MgTi. It was derived from a GGA-PBE-relaxed structure, using Cu Kα (λ = 1.5418 Å).
Peak positions follow from Bragg's law for the DFT cell and can differ from measured ones.

Top 10 peaks for 2θ from 15° to 90°, sorted by position:
34.39°, d = 2.608 Å, intensity 41
37.46°, d = 2.401 Å, intensity 46
37.61°, d = 2.392 Å, intensity 73
39.32°, d = 2.292 Å, intensity 100
51.76°, d = 1.766 Å, intensity 23
59.15°, d = 1.562 Å, intensity 15
67.68°, d = 1.384 Å, intensity 11
68.83°, d = 1.364 Å, intensity 17
72.15°, d = 1.309 Å, intensity 15
75.53°, d = 1.259 Å, intensity 26

Atomic structure:
```
data_MgTi
_cell_length_a 4.801
_cell_length_b 8.406
_cell_length_c 8.406
_cell_angle_alpha 20.28
_cell_angle_beta 90.00
_cell_angle_gamma 90.00
_space_group_name_H-M_alt 'P 1'
_space_group_IT_number 1
loop_
_space_group_symop_operation_xyz
'x,y,z'
loop_
_atom_site_label
_atom_site_fract_x
_atom_site_fract_y
_atom_site_fract_z
Mg1 0.000 0.000 0.000
Mg2 0.000 0.319 0.319
Mg3 0.500 0.892 0.892
Ti1 0.000 0.658 0.658
Ti2 0.500 0.214 0.214
Ti3 0.500 0.573 0.573
```

No. 11
The following is a simulated XRD peak list of MgTi. It was derived from a GGA-PBE-relaxed structure, using Cu Kα (λ = 1.5418 Å).
Peak positions follow from Bragg's law for the DFT cell and can differ from measured ones.

Top 10 peaks for 2θ from 15° to 90°, sorted by position:
18.20°, d = 4.875 Å, intensity 42
33.88°, d = 2.646 Å, intensity 32
34.46°, d = 2.603 Å, intensity 39
36.88°, d = 2.437 Å, intensity 55
37.44°, d = 2.402 Å, intensity 71
38.40°, d = 2.344 Å, intensity 100
40.32°, d = 2.237 Å, intensity 97
40.76°, d = 2.214 Å, intensity 34
60.99°, d = 1.519 Å, intensity 31
69.96°, d = 1.345 Å, intensity 20

Atomic structure:
```
data_MgTi
_cell_length_a 5.457
_cell_length_b 5.457
_cell_length_c 5.326
_cell_angle_alpha 112.79
_cell_angle_beta 112.79
_cell_angle_gamma 31.80
_space_group_name_H-M_alt 'P 1'
_space_group_IT_number 1
loop_
_space_group_symop_operation_xyz
'x,y,z'
loop_
_atom_site_label
_atom_site_fract_x
_atom_site_fract_y
_atom_site_fract_z
Mg1 0.123 0.123 0.453
Mg2 0.877 0.877 0.547
Ti1 0.367 0.367 0.043
Ti2 0.633 0.633 0.957
```

No. 12
The following is a simulated XRD peak list of Mg2Ti. It was derived from a GGA-PBE-relaxed structure, using Cu Kα (λ = 1.5418 Å).
Peak positions follow from Bragg's law for the DFT cell and can differ from measured ones.

Top 10 peaks for 2θ from 15° to 90°, sorted by position:
18.52°, d = 4.790 Å, intensity 12
32.64°, d = 2.744 Å, intensity 34
36.74°, d = 2.446 Å, intensity 39
37.59°, d = 2.393 Å, intensity 100
38.28°, d = 2.351 Å, intensity 58
49.95°, d = 1.826 Å, intensity 19
59.25°, d = 1.560 Å, intensity 16
66.73°, d = 1.402 Å, intensity 16
71.42°, d = 1.321 Å, intensity 16
71.78°, d = 1.315 Å, intensity 17

Atomic structure:
```
data_Mg2Ti
_cell_length_a 5.489
_cell_length_b 5.489
_cell_length_c 4.892
_cell_angle_alpha 90.00
_cell_angle_beta 90.00
_cell_angle_gamma 58.47
_space_group_name_H-M_alt 'P 1'
_space_group_IT_number 1
loop_
_space_group_symop_operation_xyz
'x,y,z'
loop_
_atom_site_label
_atom_site_fract_x
_atom_site_fract_y
_atom_site_fract_z
Mg1 0.001 0.331 0.250
Mg2 0.331 0.001 0.750
Mg3 0.669 0.999 0.250
Mg4 0.999 0.669 0.750
Ti1 0.356 0.644 0.250
Ti2 0.644 0.356 0.750
```

No. 13
The following is a simulated XRD peak list of Mg2Ti. It was derived from a GGA-PBE-relaxed structure, using Cu Kα (λ = 1.5418 Å).
Peak positions follow from Bragg's law for the DFT cell and can differ from measured ones.

Top 10 peaks for 2θ from 15° to 90°, sorted by position:
33.86°, d = 2.647 Å, intensity 43
36.57°, d = 2.457 Å, intensity 47
37.34°, d = 2.408 Å, intensity 80
38.63°, d = 2.330 Å, intensity 100
50.69°, d = 1.801 Å, intensity 26
58.75°, d = 1.572 Å, intensity 18
66.34°, d = 1.409 Å, intensity 13
67.21°, d = 1.393 Å, intensity 17
71.22°, d = 1.324 Å, intensity 19
74.20°, d = 1.278 Å, intensity 18

Atomic structure:
```
data_Mg2Ti
_cell_length_a 8.423
_cell_length_b 8.423
_cell_length_c 4.914
_cell_angle_alpha 90.00
_cell_angle_beta 90.00
_cell_angle_gamma 159.38
_space_group_name_H-M_alt 'P 1'
_space_group_IT_number 1
loop_
_space_group_symop_operation_xyz
'x,y,z'
loop_
_atom_site_label
_atom_site_fract_x
_atom_site_fract_y
_atom_site_fract_z
Mg1 0.110 0.890 0.750
Mg2 0.213 0.787 0.250
Mg3 0.787 0.213 0.750
Mg4 0.890 0.110 0.250
Ti1 0.455 0.545 0.750
Ti2 0.545 0.455 0.250
```

No. 14
The following is a simulated XRD peak list of Mg2Ti. It was derived from a GGA-PBE-relaxed structure, using Cu Kα (λ = 1.5418 Å).
Peak positions follow from Bragg's law for the DFT cell and can differ from measured ones.

Top 10 peaks for 2θ from 15° to 90°, sorted by position:
32.79°, d = 2.731 Å, intensity 12
33.17°, d = 2.701 Å, intensity 27
37.04°, d = 2.427 Å, intensity 40
37.79°, d = 2.380 Å, intensity 54
38.13°, d = 2.360 Å, intensity 100
50.56°, d = 1.805 Å, intensity 16
67.25°, d = 1.392 Å, intensity 9
67.44°, d = 1.389 Å, intensity 8
67.50°, d = 1.388 Å, intensity 8
71.62°, d = 1.318 Å, intensity 8

Atomic structure:
```
data_Mg2Ti
_cell_length_a 8.344
_cell_length_b 4.855
_cell_length_c 12.431
_cell_angle_alpha 90.00
_cell_angle_beta 100.91
_cell_angle_gamma 90.00
_space_group_name_H-M_alt 'P 1'
_space_group_IT_number 1
loop_
_space_group_symop_operation_xyz
'x,y,z'
loop_
_atom_site_label
_atom_site_fract_x
_atom_site_fract_y
_atom_site_fract_z
Mg1 0.056 0.250 0.320
Mg2 0.059 0.250 0.072
Mg3 0.060 0.250 0.570
Mg4 0.064 0.250 0.819
Mg5 0.282 0.750 0.100
Mg6 0.286 0.750 0.346
Mg7 0.389 0.250 0.488
Mg8 0.390 0.250 0.985
Mg9 0.610 0.750 0.015
Mg10 0.611 0.750 0.512
Mg11 0.714 0.250 0.654
Mg12 0.718 0.250 0.900
Mg13 0.936 0.750 0.181
Mg14 0.940 0.750 0.430
Mg15 0.941 0.750 0.928
Mg16 0.944 0.750 0.680
Ti1 0.289 0.750 0.618
Ti2 0.290 0.750 0.829
Ti3 0.387 0.250 0.737
Ti4 0.422 0.250 0.240
Ti5 0.578 0.750 0.760
Ti6 0.613 0.750 0.263
Ti7 0.710 0.250 0.171
Ti8 0.711 0.250 0.382
```

No. 15
The following is a simulated XRD peak list of MgTi5. It was derived from a GGA-PBE-relaxed structure, using Cu Kα (λ = 1.5418 Å).
Peak positions follow from Bragg's law for the DFT cell and can differ from measured ones.

Top 10 peaks for 2θ from 15° to 90°, sorted by position:
35.15°, d = 2.553 Å, intensity 13
35.48°, d = 2.530 Å, intensity 25
37.31°, d = 2.410 Å, intensity 42
39.96°, d = 2.256 Å, intensity 50
40.25°, d = 2.240 Å, intensity 100
52.43°, d = 1.745 Å, intensity 14
63.28°, d = 1.470 Å, intensity 15
69.27°, d = 1.356 Å, intensity 17
75.82°, d = 1.255 Å, intensity 17
78.10°, d = 1.224 Å, intensity 12

Atomic structure:
```
data_MgTi5
_cell_length_a 4.821
_cell_length_b 7.796
_cell_length_c 7.796
_cell_angle_alpha 21.54
_cell_angle_beta 90.00
_cell_angle_gamma 90.00
_space_group_name_H-M_alt 'P 1'
_space_group_IT_number 1
loop_
_space_group_symop_operation_xyz
'x,y,z'
loop_
_atom_site_label
_atom_site_fract_x
_atom_site_fract_y
_atom_site_fract_z
Mg1 0.000 0.000 0.000
Ti1 0.000 0.327 0.327
Ti2 0.000 0.667 0.667
Ti3 0.500 0.114 0.114
Ti4 0.500 0.438 0.438
Ti5 0.500 0.776 0.776
```